1.
The following is a simulated XRD peak list of Pr2As2O5. It was derived from a DFT-relaxed cell (PBE, OQMD), using Cu Ka.

Structure:
```
data_Pr2As2O5
_chemical_formula_sum 'Pr2 As2 O5'
_cell_length_a 4.1496
_cell_length_b 4.1496
_cell_length_c 7.0770
_cell_angle_alpha 90.00
_cell_angle_beta 90.00
_cell_angle_gamma 90.00
_space_group_name_H-M_alt 'P 1'
_space_group_IT_number 1
loop_
_space_group_symop_operation_xyz
'x,y,z'
loop_
_atom_site_label
_atom_site_fract_x
_atom_site_fract_y
_atom_site_fract_z
_atom_site_occupancy
Pr1 0.0000 0.0000 0.0000 1
Pr2 0.0000 0.0000 0.5000 1
As1 0.5000 0.5000 0.2152 1
As2 0.5000 0.5000 0.7848 1
O1 0.0000 0.5000 0.2394 1
O2 0.0000 0.5000 0.7607 1
O3 0.5000 0.0000 0.2394 1
O4 0.5000 0.0000 0.7607 1
O5 0.5000 0.5000 0.5000 1
```

The 6 most intense peaks (15 to 90 degrees two-theta), sorted by position:
2θ 30.46, 2.934 Å, I 57; 2θ 33.28, 2.692 Å, I 100; 2θ 39.91, 2.259 Å, I 18; 2θ 43.62, 2.075 Å, I 38; 2θ 55.95, 1.643 Å, I 46; 2θ 89.56, 1.094 Å, I 16

2.
The following is a simulated XRD peak list of RbPrAsO. It was derived from a DFT-relaxed cell (PBE, OQMD), using Cu Ka.

Structure:
```
data_RbPrAsO
_chemical_formula_sum 'Rb2 Pr2 As2 O2'
_cell_length_a 4.2704
_cell_length_b 4.2704
_cell_length_c 11.1596
_cell_angle_alpha 90.00
_cell_angle_beta 90.00
_cell_angle_gamma 90.00
_space_group_name_H-M_alt 'P 1'
_space_group_IT_number 1
loop_
_space_group_symop_operation_xyz
'x,y,z'
loop_
_atom_site_label
_atom_site_fract_x
_atom_site_fract_y
_atom_site_fract_z
_atom_site_occupancy
Rb1 0.2500 0.7500 0.0000 1
Rb2 0.7500 0.2500 0.0000 1
Pr1 0.2500 0.2500 0.4028 1
Pr2 0.7500 0.7500 0.5972 1
As1 0.2500 0.2500 0.7683 1
As2 0.7500 0.7500 0.2317 1
O1 0.2500 0.7500 0.5000 1
O2 0.7500 0.2500 0.5000 1
```

The 6 most intense peaks (15 to 90 degrees two-theta), sorted by position:
2θ 26.28, 3.391 Å, I 85; 2θ 30.67, 2.915 Å, I 79; 2θ 31.91, 2.805 Å, I 100; 2θ 33.75, 2.656 Å, I 33; 2θ 42.33, 2.135 Å, I 54; 2θ 53.97, 1.699 Å, I 45

3.
The following is a simulated XRD peak list of TbPrAsO. It was derived from a DFT-relaxed cell (PBE, OQMD), using Cu Ka.

Structure:
```
data_TbPrAsO
_chemical_formula_sum 'Tb2 Pr2 As2 O2'
_cell_length_a 4.3566
_cell_length_b 7.6305
_cell_length_c 6.1797
_cell_angle_alpha 90.00
_cell_angle_beta 90.00
_cell_angle_gamma 90.00
_space_group_name_H-M_alt 'P 1'
_space_group_IT_number 1
loop_
_space_group_symop_operation_xyz
'x,y,z'
loop_
_atom_site_label
_atom_site_fract_x
_atom_site_fract_y
_atom_site_fract_z
_atom_site_occupancy
Tb1 0.0000 0.1066 0.0000 1
Tb2 0.0000 0.8934 0.5000 1
Pr1 0.5000 0.2979 0.4163 1
Pr2 0.5000 0.7021 0.9163 1
As1 0.5000 0.3201 0.9093 1
As2 0.5000 0.6799 0.4093 1
O1 0.0000 0.1626 0.3535 1
O2 0.0000 0.8374 0.8535 1
```

The 6 most intense peaks (15 to 90 degrees two-theta), sorted by position:
2θ 23.51, 3.783 Å, I 100; 2θ 27.47, 3.246 Å, I 41; 2θ 27.65, 3.227 Å, I 67; 2θ 28.90, 3.090 Å, I 76; 2θ 31.18, 2.869 Å, I 55; 2θ 37.58, 2.393 Å, I 41

4.
The following is a simulated XRD peak list of RbZr2As3O12. It was derived from a DFT-relaxed cell (PBE, OQMD), using Cu Ka.

Structure:
```
data_RbZr2As3O12
_chemical_formula_sum 'Rb2 Zr4 As6 O24'
_cell_length_a 9.9086
_cell_length_b 9.9086
_cell_length_c 9.9086
_cell_angle_alpha 54.07
_cell_angle_beta 54.07
_cell_angle_gamma 54.07
_space_group_name_H-M_alt 'P 1'
_space_group_IT_number 1
loop_
_space_group_symop_operation_xyz
'x,y,z'
loop_
_atom_site_label
_atom_site_fract_x
_atom_site_fract_y
_atom_site_fract_z
_atom_site_occupancy
Rb1 0.0000 0.0000 0.0000 1
Rb2 0.5000 0.5000 0.5000 1
Zr1 0.1498 0.1498 0.1498 1
Zr2 0.3502 0.3502 0.3502 1
Zr3 0.6498 0.6498 0.6498 1
Zr4 0.8502 0.8502 0.8502 1
As1 0.0298 0.7500 0.4702 1
As2 0.2500 0.5298 0.9702 1
As3 0.4702 0.0298 0.7500 1
As4 0.5298 0.9702 0.2500 1
As5 0.7500 0.4702 0.0298 1
As6 0.9702 0.2500 0.5298 1
O1 0.0180 0.7344 0.6570 1
O2 0.0645 0.7081 0.9308 1
O3 0.0692 0.9355 0.2919 1
O4 0.1570 0.2344 0.5180 1
O5 0.2081 0.5645 0.4308 1
O6 0.2344 0.5180 0.1570 1
O7 0.2656 0.3430 0.9820 1
O8 0.2919 0.0692 0.9355 1
O9 0.3430 0.9820 0.2656 1
O10 0.4308 0.2081 0.5645 1
O11 0.4355 0.5692 0.7919 1
O12 0.4820 0.8430 0.7656 1
O13 0.5180 0.1570 0.2344 1
O14 0.5645 0.4308 0.2081 1
O15 0.5692 0.7919 0.4355 1
O16 0.6570 0.0180 0.7344 1
O17 0.7081 0.9308 0.0645 1
O18 0.7344 0.6570 0.0180 1
O19 0.7656 0.4820 0.8430 1
O20 0.7919 0.4355 0.5692 1
O21 0.8430 0.7656 0.4820 1
O22 0.9308 0.0645 0.7081 1
O23 0.9355 0.2919 0.0692 1
O24 0.9820 0.2656 0.3430 1
```

The 6 most intense peaks (15 to 90 degrees two-theta), sorted by position:
2θ 19.71, 4.504 Å, I 39; 2θ 22.38, 3.973 Å, I 90; 2θ 29.01, 3.078 Å, I 100; 2θ 34.49, 2.600 Å, I 36; 2θ 45.67, 1.986 Å, I 32; 2θ 56.13, 1.639 Å, I 22

5.
The following is a simulated XRD peak list of Re2As2O5. It was derived from a DFT-relaxed cell (PBE, OQMD), using Cu Ka.

Structure:
```
data_Re2As2O5
_chemical_formula_sum 'Re2 As2 O5'
_cell_length_a 3.8397
_cell_length_b 3.8397
_cell_length_c 6.8513
_cell_angle_alpha 90.00
_cell_angle_beta 90.00
_cell_angle_gamma 90.00
_space_group_name_H-M_alt 'P 1'
_space_group_IT_number 1
loop_
_space_group_symop_operation_xyz
'x,y,z'
loop_
_atom_site_label
_atom_site_fract_x
_atom_site_fract_y
_atom_site_fract_z
_atom_site_occupancy
Re1 0.0000 0.0000 0.1778 1
Re2 0.0000 0.0000 0.8222 1
As1 0.5000 0.5000 0.0000 1
As2 0.5000 0.5000 0.5000 1
O1 0.0000 0.0000 0.5000 1
O2 0.0000 0.5000 0.2590 1
O3 0.0000 0.5000 0.7410 1
O4 0.5000 0.0000 0.2590 1
O5 0.5000 0.0000 0.7410 1
```

The 6 most intense peaks (15 to 90 degrees two-theta), sorted by position:
2θ 23.16, 3.840 Å, I 56; 2θ 32.99, 2.715 Å, I 99; 2θ 35.11, 2.556 Å, I 100; 2θ 46.25, 1.963 Å, I 49; 2θ 47.35, 1.920 Å, I 58; 2θ 60.29, 1.535 Å, I 43

6.
The following is a simulated XRD peak list of SmScAsO. It was derived from a DFT-relaxed cell (PBE, OQMD), using Cu Ka.

Structure:
```
data_SmScAsO
_chemical_formula_sum 'Sm2 Sc2 As2 O2'
_cell_length_a 4.8499
_cell_length_b 6.0427
_cell_length_c 5.9155
_cell_angle_alpha 90.00
_cell_angle_beta 90.00
_cell_angle_gamma 90.00
_space_group_name_H-M_alt 'P 1'
_space_group_IT_number 1
loop_
_space_group_symop_operation_xyz
'x,y,z'
loop_
_atom_site_label
_atom_site_fract_x
_atom_site_fract_y
_atom_site_fract_z
_atom_site_occupancy
Sm1 0.0000 0.2484 0.0000 1
Sm2 0.0000 0.7516 0.5000 1
Sc1 0.5000 0.3574 0.6046 1
Sc2 0.5000 0.6426 0.1046 1
As1 0.0000 0.2363 0.4949 1
As2 0.0000 0.7637 0.9949 1
O1 0.5000 0.3424 0.9460 1
O2 0.5000 0.6576 0.4460 1
```

The 6 most intense peaks (15 to 90 degrees two-theta), sorted by position:
2θ 18.29, 4.850 Å, I 100; 2θ 29.57, 3.021 Å, I 70; 2θ 30.22, 2.958 Å, I 72; 2θ 34.99, 2.564 Å, I 66; 2θ 35.55, 2.525 Å, I 61; 2θ 46.89, 1.938 Å, I 63

7.
The following is a simulated XRD peak list of SmSiAsO. It was derived from a DFT-relaxed cell (PBE, OQMD), using Cu Ka.

Structure:
```
data_SmSiAsO
_chemical_formula_sum 'Sm2 Si2 As2 O2'
_cell_length_a 3.8095
_cell_length_b 6.1517
_cell_length_c 6.9690
_cell_angle_alpha 90.00
_cell_angle_beta 90.00
_cell_angle_gamma 90.00
_space_group_name_H-M_alt 'P 1'
_space_group_IT_number 1
loop_
_space_group_symop_operation_xyz
'x,y,z'
loop_
_atom_site_label
_atom_site_fract_x
_atom_site_fract_y
_atom_site_fract_z
_atom_site_occupancy
Sm1 0.0000 0.2472 0.0000 1
Sm2 0.0000 0.7528 0.5000 1
Si1 0.5000 0.1214 0.6071 1
Si2 0.5000 0.8786 0.1071 1
As1 0.0000 0.2650 0.4262 1
As2 0.0000 0.7350 0.9262 1
O1 0.5000 0.2570 0.8170 1
O2 0.5000 0.7430 0.3170 1
```

The 6 most intense peaks (15 to 90 degrees two-theta), sorted by position:
2θ 23.35, 3.810 Å, I 95; 2θ 25.56, 3.484 Å, I 91; 2θ 29.03, 3.076 Å, I 100; 2θ 34.90, 2.571 Å, I 97; 2θ 37.58, 2.393 Å, I 76; 2θ 46.01, 1.973 Å, I 86

8.
The following is a simulated XRD peak list of Sm2As2O5. It was derived from a DFT-relaxed cell (PBE, OQMD), using Cu Ka.

Structure:
```
data_Sm2As2O5
_chemical_formula_sum 'Sm2 As2 O5'
_cell_length_a 3.7396
_cell_length_b 3.7396
_cell_length_c 9.6024
_cell_angle_alpha 90.00
_cell_angle_beta 90.00
_cell_angle_gamma 90.00
_space_group_name_H-M_alt 'P 1'
_space_group_IT_number 1
loop_
_space_group_symop_operation_xyz
'x,y,z'
loop_
_atom_site_label
_atom_site_fract_x
_atom_site_fract_y
_atom_site_fract_z
_atom_site_occupancy
Sm1 0.0000 0.0000 0.2452 1
Sm2 0.0000 0.0000 0.7548 1
As1 0.5000 0.5000 0.0000 1
As2 0.5000 0.5000 0.5000 1
O1 0.0000 0.0000 0.0000 1
O2 0.0000 0.5000 0.3703 1
O3 0.0000 0.5000 0.6297 1
O4 0.5000 0.0000 0.3703 1
O5 0.5000 0.0000 0.6297 1
```

The 6 most intense peaks (15 to 90 degrees two-theta), sorted by position:
2θ 23.79, 3.740 Å, I 13; 2θ 30.29, 2.950 Å, I 100; 2θ 33.90, 2.644 Å, I 32; 2θ 48.70, 1.870 Å, I 20; 2θ 51.41, 1.777 Å, I 33; 2θ 58.44, 1.579 Å, I 31

9.
The following is a simulated XRD peak list of SmAs2O. It was derived from a DFT-relaxed cell (PBE, OQMD), using Cu Ka.

Structure:
```
data_SmAs2O
_chemical_formula_sum 'Sm2 As4 O2'
_cell_length_a 4.3505
_cell_length_b 6.2324
_cell_length_c 6.3964
_cell_angle_alpha 90.00
_cell_angle_beta 90.00
_cell_angle_gamma 90.00
_space_group_name_H-M_alt 'P 1'
_space_group_IT_number 1
loop_
_space_group_symop_operation_xyz
'x,y,z'
loop_
_atom_site_label
_atom_site_fract_x
_atom_site_fract_y
_atom_site_fract_z
_atom_site_occupancy
Sm1 0.0000 0.2390 0.0000 1
Sm2 0.0000 0.7610 0.5000 1
As1 0.0000 0.2779 0.4679 1
As2 0.0000 0.7221 0.9679 1
As3 0.5000 0.1361 0.6136 1
As4 0.5000 0.8639 0.1136 1
O1 0.5000 0.2763 0.8726 1
O2 0.5000 0.7237 0.3726 1
```

The 6 most intense peaks (15 to 90 degrees two-theta), sorted by position:
2θ 20.41, 4.351 Å, I 32; 2θ 27.90, 3.198 Å, I 47; 2θ 28.65, 3.116 Å, I 100; 2θ 34.82, 2.577 Å, I 50; 2θ 35.43, 2.533 Å, I 35; 2θ 45.69, 1.986 Å, I 41

10.
The following is a simulated XRD peak list of SrZn2As2O8. It was derived from a DFT-relaxed cell (PBE, OQMD), using Cu Ka.

Structure:
```
data_SrZn2As2O8
_chemical_formula_sum 'Sr4 Zn8 As8 O32'
_cell_length_a 8.5804
_cell_length_b 9.7304
_cell_length_c 9.2179
_cell_angle_alpha 90.00
_cell_angle_beta 92.22
_cell_angle_gamma 90.00
_space_group_name_H-M_alt 'P 1'
_space_group_IT_number 1
loop_
_space_group_symop_operation_xyz
'x,y,z'
loop_
_atom_site_label
_atom_site_fract_x
_atom_site_fract_y
_atom_site_fract_z
_atom_site_occupancy
Sr1 0.2458 0.0843 0.1164 1
Sr2 0.2458 0.4157 0.6164 1
Sr3 0.7542 0.5843 0.3836 1
Sr4 0.7542 0.9157 0.8836 1
Zn1 0.0795 0.6837 0.0470 1
Zn2 0.0795 0.8163 0.5470 1
Zn3 0.4266 0.0708 0.7233 1
Zn4 0.4266 0.4292 0.2233 1
Zn5 0.5734 0.5708 0.7767 1
Zn6 0.5734 0.9292 0.2767 1
Zn7 0.9205 0.1837 0.4530 1
Zn8 0.9205 0.3163 0.9530 1
As1 0.0580 0.0815 0.7531 1
As2 0.0580 0.4185 0.2531 1
As3 0.4504 0.7051 0.0597 1
As4 0.4504 0.7949 0.5597 1
As5 0.5496 0.2051 0.4403 1
As6 0.5496 0.2949 0.9403 1
As7 0.9420 0.5815 0.7469 1
As8 0.9420 0.9185 0.2469 1
O1 0.0264 0.0659 0.3142 1
O2 0.0264 0.4341 0.8142 1
O3 0.0640 0.6242 0.6099 1
O4 0.0640 0.8758 0.1099 1
O5 0.0714 0.2024 0.6203 1
O6 0.0714 0.2976 0.1203 1
O7 0.2386 0.0596 0.8377 1
O8 0.2386 0.4404 0.3377 1
O9 0.2850 0.6274 0.9921 1
O10 0.2850 0.8726 0.4921 1
O11 0.4085 0.2041 0.5677 1
O12 0.4085 0.2959 0.0677 1
O13 0.4255 0.6284 0.6145 1
O14 0.4255 0.8716 0.1145 1
O15 0.4738 0.1079 0.2979 1
O16 0.4738 0.3921 0.7979 1
O17 0.5262 0.6079 0.2021 1
O18 0.5262 0.8921 0.7021 1
O19 0.5745 0.1284 0.8855 1
O20 0.5745 0.3716 0.3855 1
O21 0.5915 0.7041 0.9323 1
O22 0.5915 0.7959 0.4323 1
O23 0.7150 0.1274 0.5079 1
O24 0.7150 0.3726 0.0079 1
O25 0.7614 0.5596 0.6623 1
O26 0.7614 0.9404 0.1623 1
O27 0.9286 0.7024 0.8797 1
O28 0.9286 0.7976 0.3797 1
O29 0.9360 0.1242 0.8901 1
O30 0.9360 0.3758 0.3901 1
O31 0.9736 0.5659 0.1858 1
O32 0.9736 0.9341 0.6858 1
```

The 6 most intense peaks (15 to 90 degrees two-theta), sorted by position:
2θ 20.70, 4.290 Å, I 76; 2θ 22.26, 3.993 Å, I 56; 2θ 26.65, 3.345 Å, I 100; 2θ 29.17, 3.062 Å, I 70; 2θ 29.43, 3.035 Å, I 69; 2θ 34.51, 2.599 Å, I 99